(1)
Calculated XRD peak list of Zr3Zn4Au4 for Cu Ka, from a GGA-PBE-relaxed structure.

Principal peaks in the range 10° ≤ 2θ ≤ 80°, in order of rising 2θ:
d 4.105, I 20
d 2.991, I 17
d 2.470, I 27
d 2.427, I 27
d 2.368, I 37
d 2.268, I 100
d 2.222, I 11
d 1.890, I 16
d 1.658, I 17
d 1.253, I 30

```
Zr3Zn4Au4
1.0
3.0070 0.0000 0.0000
-0.0010 4.5418 0.0000
-1.4965 -2.2654 14.3898
Zr Zn Au
3 4 4
Direct
0.0000 0.0000 0.0000
0.1406 0.6392 0.2799
0.8594 0.3608 0.7201
0.2662 0.2659 0.5310
0.4060 0.9074 0.8135
0.5940 0.0926 0.1865
0.7338 0.7341 0.4690
0.3135 0.8158 0.6302
0.4513 0.4519 0.9029
0.5487 0.5481 0.0971
0.6865 0.1842 0.3698
```

=====

(2)
Calculated XRD peak list of ZrAu5 for Cu Ka, from a GGA-PBE-relaxed structure.

Principal peaks in the range 10° ≤ 2θ ≤ 80°, in order of rising 2θ:
d 2.469, I 100
d 2.392, I 91
d 2.207, I 36
d 2.111, I 32
d 2.008, I 27
d 1.485, I 21
d 1.455, I 19
d 1.332, I 14
d 1.295, I 13
d 1.289, I 13

```
ZrAu5
1.0
4.6713 -2.0079 0.0000
4.6713 2.0079 0.0000
-1.8379 0.0000 5.9919
Zr Au
1 5
Direct
0.0000 0.0000 0.0000
0.0000 0.0000 0.5000
0.3303 0.3303 0.1640
0.3412 0.3412 0.6717
0.6588 0.6588 0.3283
0.6697 0.6697 0.8360
```

=====

(3)
Calculated XRD peak list of Zr5Au for Cu Ka, from a GGA-PBE-relaxed structure.

Principal peaks in the range 10° ≤ 2θ ≤ 80°, in order of rising 2θ:
d 6.390, I 7
d 2.574, I 100
d 2.285, I 36
d 2.272, I 6
d 2.130, I 13
d 1.616, I 12
d 1.558, I 19
d 1.368, I 27
d 1.300, I 9
d 1.287, I 10

```
Zr5Au
1.0
3.2312 0.0000 0.0000
0.0000 3.2312 0.0000
0.0000 0.0000 12.7803
Zr Au
5 1
Direct
0.0000 0.0000 0.0000
0.0000 0.0000 0.3470
0.0000 0.0000 0.6530
0.5000 0.5000 0.1748
0.5000 0.5000 0.8252
0.5000 0.5000 0.5000
```

=====

(4)
Calculated XRD peak list of ZrAu for Cu Ka, from a GGA-PBE-relaxed structure.

Principal peaks in the range 10° ≤ 2θ ≤ 80°, in order of rising 2θ:
d 3.892, I 15
d 3.178, I 13
d 2.752, I 18
d 2.462, I 100
d 2.247, I 44
d 1.835, I 13
d 1.471, I 38
d 1.335, I 10
d 1.263, I 11
d 1.201, I 12

```
ZrAu
1.0
5.5047 0.0000 0.0000
0.0000 5.5047 0.0000
0.0000 0.0000 5.5047
Zr Au
4 4
Direct
0.0871 0.0871 0.0871
0.4129 0.9129 0.5871
0.5871 0.4129 0.9129
0.9129 0.5871 0.4129
0.0940 0.5940 0.9060
0.4060 0.4060 0.4060
0.5940 0.9060 0.0940
0.9060 0.0940 0.5940
```

=====

(5)
Calculated XRD peak list of Zr5Au3 for Cu Ka, from a GGA-PBE-relaxed structure.

Principal peaks in the range 10° ≤ 2θ ≤ 80°, in order of rising 2θ:
d 7.396, I 19
d 3.337, I 35
d 2.795, I 17
d 2.674, I 25
d 2.477, I 100
d 2.465, I 46
d 2.266, I 56
d 1.915, I 35
d 1.503, I 21
d 1.294, I 22

```
Zr5Au3
1.0
8.5396 0.0000 0.0000
-4.2698 7.3955 0.0000
0.0000 0.0000 5.3481
Zr Au
10 6
Direct
0.0000 0.2431 0.2500
0.0000 0.7569 0.7500
0.2431 0.0000 0.2500
0.2431 0.2431 0.7500
0.3333 0.6667 0.0000
0.3333 0.6667 0.5000
0.6667 0.3333 0.0000
0.6667 0.3333 0.5000
0.7569 0.0000 0.7500
0.7569 0.7569 0.2500
0.0000 0.3949 0.7500
0.0000 0.6051 0.2500
0.3949 0.0000 0.7500
0.3949 0.3949 0.2500
0.6051 0.0000 0.2500
0.6051 0.6051 0.7500
```

=====

(6)
Calculated XRD peak list of Zr3Au2 for Cu Ka, from a GGA-PBE-relaxed structure.

Principal peaks in the range 10° ≤ 2θ ≤ 80°, in order of rising 2θ:
d 4.137, I 8
d 3.157, I 9
d 2.510, I 100
d 2.233, I 37
d 2.068, I 13
d 1.579, I 12
d 1.517, I 19
d 1.336, I 27
d 1.264, I 9
d 1.255, I 10

```
Zr3Au2
1.0
3.1575 0.0000 0.0000
0.0000 3.1575 0.0000
0.0000 0.0000 20.6831
Zr Au
6 4
Direct
0.0000 0.0000 0.0000
0.0000 0.0000 0.1952
0.0000 0.0000 0.3910
0.0000 0.0000 0.6090
0.0000 0.0000 0.8048
0.5000 0.5000 0.5000
0.5000 0.5000 0.0978
0.5000 0.5000 0.2934
0.5000 0.5000 0.7066
0.5000 0.5000 0.9022
```

=====

(7)
Calculated XRD peak list of BaB11 for Cu Ka, from a GGA-PBE-relaxed structure.

Principal peaks in the range 10° ≤ 2θ ≤ 80°, in order of rising 2θ:
d 5.712, I 77
d 5.363, I 100
d 3.227, I 57
d 2.856, I 26
d 2.811, I 59
d 2.766, I 66
d 2.681, I 28
d 2.672, I 67
d 2.282, I 49
d 2.139, I 40

```
BaB11
1.0
-3.2284 5.7123 3.0369
3.2284 -5.7123 3.0369
3.2284 5.7123 -3.0369
Ba B
2 22
Direct
0.4303 0.1803 0.2500
0.5697 0.8197 0.7500
0.0000 0.0000 0.0000
0.0000 0.0000 0.5000
0.0000 0.5000 0.0000
0.0137 0.2579 0.4818
0.0137 0.5319 0.7559
0.0816 0.3316 0.7500
0.1540 0.3508 0.2851
0.1540 0.8688 0.8031
0.2760 0.2579 0.7441
0.2760 0.5319 0.0182
0.4343 0.1312 0.7851
0.4343 0.6492 0.3031
0.5000 0.0000 0.5000
0.5657 0.3508 0.6969
0.5657 0.8688 0.2149
0.7240 0.4681 0.9818
0.7240 0.7421 0.2559
0.8460 0.1312 0.1969
0.8460 0.6492 0.7149
0.9184 0.6684 0.2500
0.9863 0.4681 0.2441
0.9863 0.7421 0.5182
```

=====

(8)
Calculated XRD peak list of BaB6 for Cu Ka, from a GGA-PBE-relaxed structure.

Principal peaks in the range 10° ≤ 2θ ≤ 80°, in order of rising 2θ:
d 4.278, I 58
d 3.025, I 100
d 2.470, I 41
d 2.139, I 21
d 1.913, I 48
d 1.747, I 26
d 1.513, I 10
d 1.426, I 28
d 1.353, I 20
d 1.290, I 13

```
BaB6
1.0
4.2783 0.0000 0.0000
0.0000 4.2783 0.0000
0.0000 0.0000 4.2783
Ba B
1 6
Direct
0.0000 0.0000 0.0000
0.2051 0.5000 0.5000
0.5000 0.2051 0.5000
0.5000 0.5000 0.2051
0.5000 0.5000 0.7949
0.5000 0.7949 0.5000
0.7949 0.5000 0.5000
```

=====

(9)
Calculated XRD peak list of BaB for Cu Ka, from a GGA-PBE-relaxed structure.

Principal peaks in the range 10° ≤ 2θ ≤ 80°, in order of rising 2θ:
d 4.129, I 100
d 3.171, I 33
d 2.919, I 54
d 2.787, I 38
d 2.515, I 13
d 2.310, I 33
d 2.148, I 21
d 2.064, I 19
d 1.905, I 20
d 1.846, I 22

```
BaB
1.0
-5.8387 5.8387 1.6474
5.8387 -5.8387 1.6474
5.8387 5.8387 -1.6474
Ba B
4 4
Direct
0.0000 0.2429 0.2429
0.0000 0.7571 0.7571
0.2429 0.0000 0.2429
0.7571 0.0000 0.7571
0.2581 0.2581 0.5163
0.2581 0.7419 0.0000
0.7419 0.2581 0.0000
0.7419 0.7419 0.4837
```

=====

(10)
Calculated XRD peak list of BaB12 for Cu Ka, from a GGA-PBE-relaxed structure.

Principal peaks in the range 10° ≤ 2θ ≤ 80°, in order of rising 2θ:
d 4.485, I 77
d 3.884, I 70
d 2.746, I 37
d 2.342, I 100
d 2.242, I 29
d 1.782, I 31
d 1.737, I 20
d 1.586, I 28
d 1.313, I 30
d 1.295, I 22

```
BaB12
1.0
0.0000 3.8841 3.8841
3.8841 0.0000 3.8841
3.8841 3.8841 0.0000
Ba B
1 12
Direct
0.0000 0.0000 0.0000
0.1676 0.5000 0.5000
0.1676 0.5000 0.8324
0.1676 0.8324 0.5000
0.5000 0.1676 0.5000
0.5000 0.1676 0.8324
0.5000 0.5000 0.1676
0.5000 0.5000 0.8324
0.5000 0.8324 0.1676
0.5000 0.8324 0.5000
0.8324 0.1676 0.5000
0.8324 0.5000 0.1676
0.8324 0.5000 0.5000
```

=====

(11)
Calculated XRD peak list of BaBe2B2O6 for Cu Ka, from a GGA-PBE-relaxed structure.

Principal peaks in the range 10° ≤ 2θ ≤ 80°, in order of rising 2θ:
d 5.190, I 60
d 4.386, I 64
d 3.447, I 50
d 3.261, I 62
d 2.964, I 41
d 2.886, I 100
d 2.662, I 52
d 2.193, I 33
d 2.136, I 43
d 2.068, I 33

```
BaBe2B2O6
1.0
0.0000 5.9282 6.5208
3.2182 0.0000 6.5208
3.2182 5.9282 0.0000
Ba Be B O
2 4 4 12
Direct
0.1250 0.1250 0.1250
0.8750 0.8750 0.8750
0.2824 0.2824 0.4676
0.4676 0.4676 0.2824
0.5324 0.5324 0.7176
0.7176 0.7176 0.5324
0.1608 0.5892 0.1608
0.4108 0.8392 0.4108
0.5892 0.1608 0.5892
0.8392 0.4108 0.8392
0.0315 0.3962 0.7630
0.2370 0.6907 0.9685
0.2776 0.4724 0.2776
0.3093 0.7630 0.3962
0.3962 0.0315 0.3093
0.4724 0.2776 0.4724
0.5276 0.7224 0.5276
0.6038 0.9685 0.6907
0.6907 0.2370 0.6038
0.7224 0.5276 0.7224
0.7630 0.3093 0.0315
0.9685 0.6038 0.2370
```